# CsVMoO6
Simulated XRD peak list, a wavelength of 1.5418 Å. Input: a DFT-relaxed cell (GGA+U, Alexandria).
No peak broadening, texture or thermal motion is included.

Largest 12 diffraction maxima, low angle first, 10 to 90 degrees two-theta:
Position (°2θ), d (Å), I_rel
13.15, 6.734, 8
23.75, 3.746, 100
26.47, 3.367, 12
33.21, 2.698, 10
34.46, 2.603, 22
42.28, 2.138, 15
43.97, 2.059, 32
45.12, 2.009, 13
55.64, 1.652, 18
57.98, 1.591, 10
69.22, 1.357, 8
77.67, 1.229, 7

Atomic structure:
abc: 5.206 5.206 6.734
angles: 90.00 90.00 120.00
Fractional coordinates of all 9 atoms:
Cs  0.000  0.000  0.000
V  0.333  0.667  0.553
Mo  0.667  0.333  0.467
O  0.002  0.407  0.673
O  0.007  0.609  0.344
O  0.391  0.398  0.344
O  0.406  0.998  0.673
O  0.593  0.594  0.673
O  0.602  0.993  0.344